No. 1
Y2GeRh3: calculated X-ray powder pattern (copper Kα), based on a GGA-PBE-relaxed structure.
Lines closer than 0.1° are merged.

Crystal structure
Cell: 5.6193 5.6193 11.9566 Å, 90.00 90.00 120.00°
Space group R-3m (No. 166, hexagonal axes)
Unique sites:
Y  0.0000  0.0000  0.1293 (multiplicity 6)
Ge  0.0000  0.0000  0.5000 (multiplicity 3)
Rh  0.0000  0.5000  0.0000 (multiplicity 9)

Main lines, most intense first (10° ≤ 2θ ≤ 90°):
hkl  d (Å)  2θ (°)  I/Imax
1 1 3  2.296  39.2  100
0 2 1  2.384  37.7  74
2 0 2  2.254  40.0  68
0 1 5  2.146  42.1  34
2 2 0  1.405  66.6  33
1 0 4  2.547  35.2  29
3 0 3  1.502  61.7  26
2 0 8  1.274  74.5  23
1 1 0  2.810  31.9  20
1 2 5  1.458  63.8  19


No. 2
MnRe3B2: calculated X-ray powder pattern (copper Kα), based on a GGA-PBE-relaxed structure.
Lines closer than 0.1° are merged.

Crystal structure
Cell: 4.4878 7.8415 15.3561 Å, 90.00 90.00 90.00°
Space group F222 (No. 22)
Unique sites:
Mn  0.0000  0.0000  0.0834 (multiplicity 8)
Re  0.0000  0.1671  0.5000 (multiplicity 8)
Re  0.2500  0.0814  0.7500 (multiplicity 8)
Re  0.2500  0.2500  0.1648 (multiplicity 8)
B  0.0000  0.0000  0.3775 (multiplicity 8)
B  0.2500  0.2500  0.6228 (multiplicity 8)

Main lines, most intense first (10° ≤ 2θ ≤ 90°):
hkl  d (Å)  2θ (°)  I/Imax
1 3 1  2.235  40.4  100
2 0 2  2.154  41.9  64
1 1 5  2.412  37.3  60
0 2 6  2.143  42.2  49
1 3 3  2.066  43.8  33
1 1 7  1.911  47.6  31
0 0 4  3.839  23.2  31
2 2 4  1.737  52.7  30
0 0 12  1.279  74.1  26
1 1 3  3.100  28.8  23


No. 3
HfMg6BiO8: calculated X-ray powder pattern (copper Kα), based on a GGA-PBE-relaxed structure.
Lines closer than 0.1° are merged.

Crystal structure
Cell: 4.5618 4.5618 9.1066 Å, 90.00 90.00 90.00°
Space group P4/mmm (No. 123)
Unique sites:
Hf  0.0000  0.0000  0.0000 (multiplicity 1)
Mg  0.0000  0.0000  0.5000 (multiplicity 1)
Mg  0.0000  0.5000  0.2717 (multiplicity 4)
Mg  0.5000  0.5000  0.5000 (multiplicity 1)
Bi  0.5000  0.5000  0.0000 (multiplicity 1)
O  0.0000  0.0000  0.2570 (multiplicity 2)
O  0.0000  0.5000  0.0000 (multiplicity 2)
O  0.0000  0.5000  0.5000 (multiplicity 2)
O  0.5000  0.5000  0.2834 (multiplicity 2)

Main lines, most intense first (10° ≤ 2θ ≤ 90°):
hkl  d (Å)  2θ (°)  I/Imax
0 0 3  3.039  29.4  100
2 0 0  2.280  39.5  97
1 1 2  2.632  34.1  73
2 2 0  1.612  57.1  61
1 1 3  2.212  40.8  54
0 0 2  4.553  19.5  51
1 1 0  3.226  27.7  43
2 2 3  1.424  65.5  31
2 0 3  1.823  50.0  26
2 0 2  2.039  44.4  25


No. 4
Li3Rh: calculated X-ray powder pattern (copper Kα), based on a GGA-PBE-relaxed structure.
Lines closer than 0.1° are merged.

Crystal structure
Cell: 5.3598 5.3598 4.4810 Å, 90.00 90.00 120.00°
Space group P6_3/mmc (No. 194)
Unique sites:
Li  0.1744  0.3489  0.2500 (multiplicity 6)
Rh  0.3333  0.6667  0.7500 (multiplicity 2)

Main lines, most intense first (10° ≤ 2θ ≤ 90°):
hkl  d (Å)  2θ (°)  I/Imax
1 0 1  3.224  27.7  100
1 0 0  4.642  19.1  43
1 1 0  2.680  33.4  41
2 0 1  2.061  43.9  41
2 1 1  1.634  56.3  27
1 1 2  1.719  53.3  21
0 0 2  2.241  40.3  12
3 1 1  1.237  77.1  10
2 0 0  2.321  38.8  10
1 0 2  2.018  44.9  9


No. 5
YNi5: calculated X-ray powder pattern (copper Kα), based on a GGA-PBE-relaxed structure.
Lines closer than 0.1° are merged.

Crystal structure
Cell: 4.8823 4.8823 3.9424 Å, 90.00 90.00 120.00°
Space group P6/mmm (No. 191)
Unique sites:
Y  0.0000  0.0000  0.0000 (multiplicity 1)
Ni  0.0000  0.5000  0.5000 (multiplicity 3)
Ni  0.3333  0.6667  0.0000 (multiplicity 2)

Main lines, most intense first (10° ≤ 2θ ≤ 90°):
hkl  d (Å)  2θ (°)  I/Imax
1 1 1  2.075  43.6  100
2 0 0  2.114  42.8  32
0 0 2  1.971  46.0  30
1 0 1  2.883  31.0  26
2 0 1  1.863  48.9  25
1 1 0  2.441  36.8  24
3 0 1  1.327  71.0  21
2 0 2  1.442  64.7  17
2 2 0  1.221  78.3  17
1 1 3  1.157  83.6  13


No. 6
Na3GaF6: calculated X-ray powder pattern (copper Kα), based on a GGA-PBE-relaxed structure.
Lines closer than 0.1° are merged.

Crystal structure
Cell: 8.1945 8.1945 8.1945 Å, 90.00 90.00 90.00°
Space group Fm-3m (No. 225)
Unique sites:
Na  0.0000  0.0000  0.0000 (multiplicity 4)
Na  0.2500  0.2500  0.2500 (multiplicity 8)
Ga  0.0000  0.0000  0.5000 (multiplicity 4)
F  0.0000  0.0000  0.2670 (multiplicity 24)

Main lines, most intense first (10° ≤ 2θ ≤ 90°):
hkl  d (Å)  2θ (°)  I/Imax
4 0 0  2.049  44.2  100
2 2 0  2.897  30.9  99
2 0 0  4.097  21.7  86
1 1 1  4.731  18.8  74
4 4 0  1.449  64.3  53
4 2 2  1.673  54.9  37
4 2 0  1.832  49.8  30
3 1 1  2.471  36.4  22
6 4 2  1.095  89.5  19
6 2 0  1.296  73.0  18


No. 7
Ce6Ni6P17: calculated X-ray powder pattern (copper Kα), based on a GGA-PBE-relaxed structure.
Lines closer than 0.1° are merged.

Crystal structure
Cell: 10.0038 10.0038 10.0038 Å, 90.00 90.00 90.00°
Space group I-43m (No. 217)
Unique sites:
Ce  0.0000  0.0000  0.2903 (multiplicity 12)
Ni  0.0000  0.2500  0.5000 (multiplicity 12)
P  0.0000  0.0000  0.0000 (multiplicity 2)
P  0.0673  0.2984  0.2984 (multiplicity 24)
P  0.2103  0.2103  0.7897 (multiplicity 8)

Main lines, most intense first (10° ≤ 2θ ≤ 90°):
hkl  d (Å)  2θ (°)  I/Imax
2 2 2  2.888  31.0  100
4 0 0  2.501  35.9  78
3 3 0  2.358  38.2  63
3 1 0  3.163  28.2  40
6 2 2  1.508  61.5  37
4 4 0  1.768  51.7  36
5 5 2  1.361  69.0  22
4 2 2  2.042  44.4  21
5 2 1  1.826  49.9  20
2 1 1  4.084  21.8  18


No. 8
Ce11O20: calculated X-ray powder pattern (copper Kα), based on a GGA-PBE-relaxed structure.
Lines closer than 0.1° are merged.

Crystal structure
Cell: 6.7643 6.7766 10.2821 Å, 96.12 90.18 99.72°
Space group P-1 (No. 2)
Unique sites:
Ce  0.0000  0.0000  0.0000 (multiplicity 1)
Ce  0.1179  0.5539  0.1721 (multiplicity 2)
Ce  0.1783  0.1001  0.3641 (multiplicity 2)
Ce  0.2719  0.6398  0.5256 (multiplicity 2)
Ce  0.3587  0.1451  0.7243 (multiplicity 2)
Ce  0.4720  0.7359  0.9181 (multiplicity 2)
O  0.0342  0.1603  0.7999 (multiplicity 2)
O  0.0447  0.4326  0.3703 (multiplicity 2)
O  0.1380  0.6537  0.9599 (multiplicity 2)
O  0.1524  0.9424  0.5646 (multiplicity 2)
O  0.1980  0.2230  0.1541 (multiplicity 2)
O  0.3099  0.7994  0.3357 (multiplicity 2)
O  0.3399  0.0340  0.9308 (multiplicity 2)
O  0.3623  0.3300  0.5408 (multiplicity 2)
O  0.4596  0.8182  0.7018 (multiplicity 2)
O  0.4661  0.5900  0.1269 (multiplicity 2)

Main lines, most intense first (10° ≤ 2θ ≤ 90°):
hkl  d (Å)  2θ (°)  I/Imax
2 0 -1  3.185  28.0  100
1 -2 0  3.197  27.9  51
0 1 -3  3.175  28.1  49
3 1 1  1.950  46.6  49
-1 1 3  2.760  32.4  41
-3 2 1  1.956  46.4  33
4 -1 1  1.665  55.2  27
2 -1 2  2.755  32.5  21
3 -3 2  1.667  55.1  20
3 0 4  1.659  55.4  20


No. 9
K6CoS4: calculated X-ray powder pattern (copper Kα), based on a GGA-PBE-relaxed structure.
Lines closer than 0.1° are merged.

Crystal structure
Cell: 9.8083 9.8083 7.7173 Å, 90.00 90.00 120.00°
Space group P6_3mc (No. 186)
Unique sites:
K  0.0587  0.5293  0.0000 (multiplicity 6)
K  0.1466  0.2932  0.6760 (multiplicity 6)
Co  0.3333  0.6667  0.3863 (multiplicity 2)
S  0.2004  0.4008  0.2897 (multiplicity 6)
S  0.3333  0.6667  0.6931 (multiplicity 2)

Main lines, most intense first (10° ≤ 2θ ≤ 90°):
hkl  d (Å)  2θ (°)  I/Imax
2 1 1  2.964  30.1  100
2 0 2  2.856  31.3  90
2 2 0  2.452  36.6  85
1 0 0  8.494  10.4  64
1 0 3  2.464  36.5  48
3 0 1  2.658  33.7  41
1 0 1  5.712  15.5  40
3 2 3  1.554  59.5  31
3 2 2  1.739  52.6  26
1 0 2  3.513  25.4  25